Starting from a crystal structure in Alexandria, relaxed with PBE, the powder diffractogram of Ta3W5 was calculated for λ = 1.5418 Å (Cu Kα).

Structure:
Cell: 6.444 6.444 6.444 Å, 90.00 90.00 90.00°
Space group Im-3m (No. 229)
Asymmetric unit:
Ta 0.000 0.000 0.500 (multiplicity 6)
W 0.000 0.000 0.000 (multiplicity 2)
W 0.250 0.250 0.250 (multiplicity 8)

Principal peaks in the range 2θ from 10° to 80°, by intensity:
two_theta	I/Imax
39.56	1000
71.76	353
57.18	173

***

Starting from a crystal structure in Alexandria, relaxed with PBE, the powder diffractogram of PuAlTe2 was calculated for λ = 1.5418 Å (Cu Kα).

Structure:
Cell: 4.1940 4.1940 23.1434 Å, 90.00 90.00 120.00°
Space group P3_221 (No. 154)
Asymmetric unit:
Pu 0.0000 0.3328 0.3333 (multiplicity 3)
Al 0.0000 0.3343 0.8333 (multiplicity 3)
Te 0.0007 0.3336 0.0873 (multiplicity 6)

Principal peaks in the range 2θ from 10° to 80°, by intensity:
two_theta	I/Imax
29.03	1000
39.84	423
11.47	359
43.14	344
24.81	253
52.84	190
65.79	190
31.30	179
70.50	161
60.16	127